For Ce2PCl2, a DFT-relaxed cell (PBE, Alexandria) gives the computed PXRD pattern in this record (Cu Kα (λ = 1.5418 Å)).
Lines closer than 0.1° are merged.

Largest 8 diffraction maxima, in order of rising 2θ, 5° ≤ 2θ ≤ 70°:
hkl  2theta  Rel. int.
0 0 3  8.90  90
1 0 1  25.38  34
1 0 4  27.95  30
0 1 5  29.39  100
0 1 8  35.00  41
1 0 10  39.56  20
1 1 0  44.41  39
1 0 13  47.26  29

Structure:
```
data_Ce2PCl2
_symmetry_space_group_name_H-M 'R -3 m'
_symmetry_Int_Tables_number 166
_symmetry_space_group_name_Hall '-R 3 2"'
_cell_length_a 4.0801
_cell_length_b 4.0801
_cell_length_c 29.8018
_cell_angle_alpha 90.00
_cell_angle_beta 90.00
_cell_angle_gamma 120.00
loop_
_atom_site_label
_atom_site_fract_x
_atom_site_fract_y
_atom_site_fract_z
_atom_site_occupancy
Ce1 0.0000 0.0000 0.1129 1
P1 0.0000 0.0000 0.5000 1
Cl1 0.0000 0.0000 0.2768 1
```

***

For LiCuP3O9, a DFT-relaxed cell (PBE, Alexandria) gives the computed PXRD pattern in this record (Cu Kα (λ = 1.5418 Å)).
Lines closer than 0.1° are merged.

Largest 8 diffraction maxima, in order of rising 2θ, 5° ≤ 2θ ≤ 70°:
hkl  2theta  Rel. int.
0 0 2  13.18  100
0 2 0  15.24  38
0 2 1  16.62  70
1 0 2  21.74  51
1 2 0  23.07  53
1 2 1  24.02  39
1 2 2  26.66  37
1 0 4  31.81  39

Structure:
```
data_LiCuP3O9
_symmetry_space_group_name_H-M 'P b c m'
_symmetry_Int_Tables_number 57
_cell_length_a 5.151
_cell_length_b 11.625
_cell_length_c 13.436
_cell_angle_alpha 90.00
_cell_angle_beta 90.00
_cell_angle_gamma 90.00
loop_
_symmetry_equiv_pos_as_xyz
'x,y,z'
'-x,-y,-z'
'-x,-y,z+1/2'
'x,y,-z+1/2'
'x,-y+1/2,-z'
'-x,y+1/2,z'
'-x,y+1/2,-z+1/2'
'x,-y+1/2,z+1/2'
loop_
_atom_site_label
_atom_site_fract_x
_atom_site_fract_y
_atom_site_fract_z
_atom_site_occupancy
Li1 0.073 0.000 0.250 1
Cu1 0.000 0.000 0.000 1
P1 0.265 0.250 0.000 1
P2 0.458 0.594 0.142 1
O1 0.115 0.152 0.544 1
O2 0.175 0.562 0.125 1
O3 0.338 0.003 0.135 1
O4 0.466 0.655 0.250 1
O5 0.473 0.206 0.080 1
```

***

For InTeIrCl, a DFT-relaxed cell (PBE, Alexandria) gives the computed PXRD pattern in this record (Cu Kα (λ = 1.5418 Å)).
Lines closer than 0.1° are merged.

Largest 8 diffraction maxima, in order of rising 2θ, 5° ≤ 2θ ≤ 70°:
hkl  2theta  Rel. int.
0 0 3  10.51  100
1 0 4  31.26  86
1 0 7  37.51  31
0 1 8  40.07  28
0 1 11  48.77  21
1 1 0  49.17  27
1 1 3  50.43  14
0 2 4  59.43  13

Structure:
```
data_InTeIrCl
_symmetry_space_group_name_H-M 'R 3 m'
_symmetry_Int_Tables_number 160
_symmetry_space_group_name_Hall 'R 3 -2"'
_cell_length_a 3.7060
_cell_length_b 3.7060
_cell_length_c 25.2504
_cell_angle_alpha 90.00
_cell_angle_beta 90.00
_cell_angle_gamma 120.00
loop_
_atom_site_label
_atom_site_fract_x
_atom_site_fract_y
_atom_site_fract_z
_atom_site_occupancy
In1 0.0000 0.0000 0.0000 1
Te1 0.0000 0.0000 0.4648 1
Ir1 0.0000 0.0000 0.7410 1
Cl1 0.0000 0.0000 0.2606 1
```

***

For SeS2, a DFT-relaxed cell (PBE, Alexandria) gives the computed PXRD pattern in this record (Cu Kα (λ = 1.5418 Å)).
Lines closer than 0.1° are merged.

Largest 8 diffraction maxima, in order of rising 2θ, 5° ≤ 2θ ≤ 70°:
hkl  2theta  Rel. int.
1 1 0  19.66  100
0 2 0  20.33  24
1 1 -1  22.02  29
2 0 -1  27.78  20
0 2 1  31.49  37
1 3 -1  36.64  19
3 1 -1  43.46  15
1 3 1  48.57  12

Structure:
```
data_SeS2
_symmetry_space_group_name_H-M 'C 1 2 1'
_symmetry_Int_Tables_number 5
_cell_length_a 6.495
_cell_length_b 8.735
_cell_length_c 4.605
_cell_angle_alpha 90.00
_cell_angle_beta 125.70
_cell_angle_gamma 90.00
loop_
_symmetry_equiv_pos_as_xyz
'x,y,z'
'-x,y,-z'
'x+1/2,y+1/2,z'
'-x+1/2,y+1/2,-z'
loop_
_atom_site_label
_atom_site_fract_x
_atom_site_fract_y
_atom_site_fract_z
_atom_site_occupancy
Se1 0.000 0.000 0.000 1
S1 0.138 0.839 0.457 1
```

***

For PaGePt4, a DFT-relaxed cell (PBE, Alexandria) gives the computed PXRD pattern in this record (Cu Kα (λ = 1.5418 Å)).
Lines closer than 0.1° are merged.

Largest 8 diffraction maxima, in order of rising 2θ, 5° ≤ 2θ ≤ 70°:
hkl  2theta  Rel. int.
0 0 3  34.95  38
1 0 -3  36.58  38
2 0 0  36.82  41
1 2 -1  37.46  32
1 2 1  39.49  100
1 2 -2  41.85  36
1 0 3  42.59  24
3 2 1  69.46  26

Structure:
```
data_PaGePt4
_symmetry_space_group_name_H-M 'P 1 21/m 1'
_symmetry_Int_Tables_number 11
_cell_length_a 4.960
_cell_length_b 5.679
_cell_length_c 7.824
_cell_angle_alpha 90.00
_cell_angle_beta 100.17
_cell_angle_gamma 90.00
loop_
_symmetry_equiv_pos_as_xyz
'x,y,z'
'-x,-y,-z'
'-x,y+1/2,-z'
'x,-y+1/2,z'
loop_
_atom_site_label
_atom_site_fract_x
_atom_site_fract_y
_atom_site_fract_z
_atom_site_occupancy
Pa1 0.218 0.250 0.371 1
Ge1 0.176 0.750 0.057 1
Pt1 0.224 0.750 0.385 1
Pt2 0.292 0.000 0.710 1
Pt3 0.340 0.250 0.020 1
```

***

For Tb6In23Pt12, a DFT-relaxed cell (PBE, Alexandria) gives the computed PXRD pattern in this record (Cu Kα (λ = 1.5418 Å)).
Lines closer than 0.1° are merged.

Largest 8 diffraction maxima, in order of rising 2θ, 5° ≤ 2θ ≤ 70°:
hkl  2theta  Rel. int.
5 1 2  32.04  52
7 1 1  33.66  49
1 1 4  33.87  40
7 1 -4  34.09  71
9 1 -2  34.75  68
3 1 -5  36.01  39
0 2 0  40.25  100
11 1 -1  41.11  48

Structure:
```
data_Tb6In23Pt12
_symmetry_space_group_name_H-M 'C 1 2/m 1'
_symmetry_Int_Tables_number 12
_cell_length_a 28.449
_cell_length_b 4.481
_cell_length_c 15.056
_cell_angle_alpha 90.00
_cell_angle_beta 112.76
_cell_angle_gamma 90.00
loop_
_symmetry_equiv_pos_as_xyz
'x,y,z'
'-x,-y,-z'
'-x,y,-z'
'x,-y,z'
'x+1/2,y+1/2,z'
'-x+1/2,-y+1/2,-z'
'-x+1/2,y+1/2,-z'
'x+1/2,-y+1/2,z'
loop_
_atom_site_label
_atom_site_fract_x
_atom_site_fract_y
_atom_site_fract_z
_atom_site_occupancy
Tb1 0.046 0.000 0.196 1
Tb2 0.166 0.500 0.033 1
Tb3 0.177 0.500 0.578 1
In1 0.000 0.500 0.000 1
In2 0.029 0.000 0.676 1
In3 0.045 0.500 0.834 1
In4 0.056 0.500 0.563 1
In5 0.075 0.000 0.005 1
In6 0.092 0.000 0.450 1
In7 0.122 0.500 0.328 1
In8 0.146 0.500 0.781 1
In9 0.174 0.000 0.219 1
In10 0.214 0.000 0.934 1
In11 0.229 0.000 0.746 1
In12 0.238 0.500 0.417 1
Pt1 0.032 0.500 0.360 1
Pt2 0.100 0.500 0.135 1
Pt3 0.109 0.000 0.859 1
Pt4 0.120 0.000 0.649 1
Pt5 0.179 0.000 0.410 1
Pt6 0.246 0.000 0.135 1
```

***

For CsAg4F8, a DFT-relaxed cell (PBE, Alexandria) gives the computed PXRD pattern in this record (Cu Kα (λ = 1.5418 Å)).
Lines closer than 0.1° are merged.

Largest 8 diffraction maxima, in order of rising 2θ, 5° ≤ 2θ ≤ 70°:
hkl  2theta  Rel. int.
0 0 2  11.74  100
1 0 2  19.46  21
0 0 4  23.60  30
2 0 0  31.22  47
2 0 2  33.46  26
2 0 4  39.51  78
2 2 0  55.56  18
2 0 8  58.63  21

Structure:
```
data_CsAg4F8
_symmetry_space_group_name_H-M 'P 63/m m c'
_symmetry_Int_Tables_number 194
_symmetry_space_group_name_Hall '-P 6c 2c'
_cell_length_a 6.6159
_cell_length_b 6.6159
_cell_length_c 15.0780
_cell_angle_alpha 90.00
_cell_angle_beta 90.00
_cell_angle_gamma 120.00
loop_
_atom_site_label
_atom_site_fract_x
_atom_site_fract_y
_atom_site_fract_z
_atom_site_occupancy
Cs1 0.0000 0.0000 0.0000 1
Ag1 0.0000 0.0000 0.2500 1
Ag2 0.0020 0.5010 0.2500 1
F1 0.1659 0.3318 0.6617 1
F2 0.3333 0.6667 0.1626 1
```

***

For Pm2Y3Th3, a DFT-relaxed cell (PBE, Alexandria) gives the computed PXRD pattern in this record (Cu Kα (λ = 1.5418 Å)).
Lines closer than 0.1° are merged.

Largest 8 diffraction maxima, in order of rising 2θ, 5° ≤ 2θ ≤ 70°:
hkl  2theta  Rel. int.
0 0 1  24.20  24
2 1 0  29.94  100
1 1 1  31.25  65
2 0 1  33.30  32
2 1 1  38.87  56
3 2 1  56.65  17
2 1 2  59.01  30
4 1 1  59.22  28

Structure:
```
data_Pm2Y3Th3
_symmetry_space_group_name_H-M 'P -6 2 m'
_symmetry_Int_Tables_number 189
_symmetry_space_group_name_Hall 'P -6 -2'
_cell_length_a 9.1169
_cell_length_b 9.1169
_cell_length_c 3.6772
_cell_angle_alpha 90.00
_cell_angle_beta 90.00
_cell_angle_gamma 120.00
loop_
_atom_site_label
_atom_site_fract_x
_atom_site_fract_y
_atom_site_fract_z
_atom_site_occupancy
Pm1 0.3333 0.6667 0.0000 1
Y1 0.0000 0.6044 0.5000 1
Th1 0.0000 0.2258 0.0000 1
```